For PrEr2ThSb4, a DFT-relaxed cell (PBE, Alexandria) gives the calculated powder XRD pattern in this record (Cu Kα (λ = 1.5418 Å)).
Intensities are scaled so that the largest is 100.

Peak list (10 most intense, 2θ from 10° to 90°, sorted by position)
Position (°2θ)	intensity	index
28.42	100	1 1 1
40.54	39	0 2 0
40.72	38	2 0 2
50.25	21	0 0 4
50.55	7	4 0 0
58.81	13	2 2 2
66.46	18	1 3 1
66.71	17	4 2 0
73.75	7	2 0 -6
73.87	13	4 2 -4

```
data_PrEr2ThSb4
_chemical_formula_sum 'Pr1 Er2 Th1 Sb4'
_cell_length_a 7.6633
_cell_length_b 4.4519
_cell_length_c 7.7055
_cell_angle_alpha 90.00
_cell_angle_beta 109.52
_cell_angle_gamma 90.00
_symmetry_space_group_name_H-M 'P 1'
_symmetry_Int_Tables_number 1
loop_
_symmetry_equiv_pos_as_xyz
'x,y,z'
loop_
_atom_site_label
_atom_site_type_symbol
_atom_site_fract_x
_atom_site_fract_y
_atom_site_fract_z
_atom_site_occupancy
Pr1 Pr 0.0000 0.0000 0.0000 1
Er1 Er 0.5000 0.0000 0.5000 1
Er2 Er 0.5000 0.5000 0.0000 1
Th1 Th 0.0000 0.5000 0.5000 1
Sb1 Sb 0.2615 0.0000 0.7525 1
Sb2 Sb 0.2622 0.5000 0.2559 1
Sb3 Sb 0.7385 0.0000 0.2475 1
Sb4 Sb 0.7378 0.5000 0.7441 1
```